1.
This entry pairs a crystal structure of PmNdHo2Er5 with its simulated powder diffractogram. Radiation: copper Kα. Structure: a DFT-relaxed cell (PBE, Alexandria).

The 6 most intense peaks (2θ = 10–90°), in order of rising 2θ:
| d [Å] | intensity |
| --- | --- |
| 3.118 | 50 |
| 3.085 | 55 |
| 2.841 | 100 |
| 2.789 | 18 |
| 2.414 | 21 |
| 2.116 | 25 |

Atomic structure:
Unit cell a=9.6993 b=9.6993 c=9.6993 alpha=125.91 beta=125.91 gamma=80.04
Element x y z (fractional)
Pm 0.2500 0.2500 0.0000
Pm 0.7500 0.7500 0.0000
Nd 0.2500 0.7500 0.5000
Nd 0.7500 0.2500 0.5000
Ho 0.1146 0.6146 0.7292
Ho 0.3854 0.1146 0.5000
Ho 0.6146 0.8854 0.5000
Ho 0.8854 0.3854 0.2708
Er 0.0000 0.0000 0.0000
Er 0.0712 0.1642 0.5000
Er 0.1642 0.6642 0.0930
Er 0.3358 0.4288 0.5000
Er 0.4288 0.9288 0.0930
Er 0.5000 0.5000 0.0000
Er 0.5712 0.0712 0.9070
Er 0.6642 0.5712 0.5000
Er 0.8358 0.3358 0.9070
Er 0.9288 0.8358 0.5000

---

2.
This entry pairs a crystal structure of Pr4NdHo2Er with its simulated powder diffractogram. Radiation: copper Kα. Structure: a DFT-relaxed cell (PBE, Alexandria).

The 6 most intense peaks (2θ = 10–90°), in order of rising 2θ:
| d [Å] | intensity |
| --- | --- |
| 2.968 | 100 |
| 2.594 | 17 |
| 2.578 | 17 |
| 2.540 | 16 |
| 1.560 | 15 |
| 1.553 | 15 |

Atomic structure:
Unit cell a=5.1554 b=5.1879 c=10.1583 alpha=90.00 beta=90.00 gamma=90.00
Element x y z (fractional)
Pr 0.0000 0.0000 0.2470
Pr 0.0000 0.0000 0.7530
Pr 0.5000 0.5000 0.2475
Pr 0.5000 0.5000 0.7525
Nd 0.5000 0.0000 0.5000
Ho 0.0000 0.5000 0.5000
Ho 0.5000 0.0000 0.0000
Er 0.0000 0.5000 0.0000

---

3.
This entry pairs a crystal structure of PrNdHo2Er2 with its simulated powder diffractogram. Radiation: copper Kα. Structure: a DFT-relaxed cell (PBE, Alexandria).

The 6 most intense peaks (2θ = 10–90°), in order of rising 2θ:
| d [Å] | intensity |
| --- | --- |
| 3.346 | 35 |
| 3.089 | 100 |
| 2.973 | 82 |
| 2.956 | 96 |
| 2.649 | 56 |
| 2.200 | 75 |

Atomic structure:
Unit cell a=6.5852 b=17.8391 c=3.4067 alpha=90.00 beta=90.00 gamma=90.00
Element x y z (fractional)
Pr 0.0000 0.0000 0.0000
Pr 0.5000 0.5000 0.5000
Nd 0.0000 0.5000 0.0000
Nd 0.5000 0.0000 0.5000
Ho 0.2247 0.1856 0.0000
Ho 0.2753 0.6856 0.5000
Ho 0.7247 0.3144 0.5000
Ho 0.7753 0.8144 0.0000
Er 0.2232 0.3496 0.5000
Er 0.2768 0.8496 0.0000
Er 0.7232 0.1504 0.0000
Er 0.7768 0.6504 0.5000